# 1
Starting from a DFT-relaxed cell (PBE, the Materials Project), the X-ray diffraction stick pattern of Ti2SN2 was computed for copper Kα.
Kinematic intensities with the Lorentz-polarization factor, no thermal factor.

Most intense lines, 2θ = 15–90°, low angle first:
2θ 33.79, intensity 100
2θ 42.54, intensity 43
2θ 44.19, intensity 19
2θ 54.01, intensity 38
2θ 54.58, intensity 12
2θ 65.24, intensity 13
2θ 72.26, intensity 21
2θ 89.63, intensity 11

Atomic structure:
a = 3.396 Å, b = 3.396 Å, c = 6.149 Å
α = 90.00°, β = 90.00°, γ = 120.00°
Fractional positions:
Ti (0.333, 0.667, 0.301)
Ti (0.667, 0.333, 0.699)
S (0.000, 0.000, 0.000)
N (0.333, 0.667, 0.636)
N (0.667, 0.333, 0.364)

---

# 2
Starting from a DFT-relaxed cell (PBE, the Materials Project), the X-ray diffraction stick pattern of V2SN2 was computed for copper Kα.
Kinematic intensities with the Lorentz-polarization factor, no thermal factor.

Most intense lines, 2θ = 15–90°, low angle first:
2θ 34.56, intensity 100
2θ 43.81, intensity 45
2θ 46.01, intensity 21
2θ 55.08, intensity 38
2θ 66.68, intensity 13
2θ 71.68, intensity 10
2θ 72.90, intensity 9
2θ 74.52, intensity 26

Atomic structure:
a = 3.334 Å, b = 3.334 Å, c = 5.918 Å
α = 90.00°, β = 90.00°, γ = 120.00°
Fractional positions:
V (0.333, 0.667, 0.316)
V (0.667, 0.333, 0.684)
S (0.000, 0.000, 0.000)
N (0.333, 0.667, 0.650)
N (0.667, 0.333, 0.350)

---

# 3
Starting from a DFT-relaxed cell (PBE, the Materials Project), the X-ray diffraction stick pattern of WS4N2 was computed for copper Kα.
Kinematic intensities with the Lorentz-polarization factor, no thermal factor.

Most intense lines, 2θ = 15–90°, low angle first:
2θ 16.24, intensity 41
2θ 16.38, intensity 100
2θ 17.74, intensity 24
2θ 23.75, intensity 21
2θ 24.05, intensity 13
2θ 27.69, intensity 13
2θ 29.80, intensity 11
2θ 30.20, intensity 20

Atomic structure:
a = 9.999 Å, b = 7.401 Å, c = 13.033 Å
α = 90.00°, β = 90.00°, γ = 90.00°
Fractional positions:
W (0.249, 0.250, 0.073)
W (0.251, 0.750, 0.573)
W (0.749, 0.250, 0.427)
W (0.751, 0.750, 0.927)
S (0.035, 0.750, 0.603)
S (0.154, 0.009, 0.140)
S (0.154, 0.491, 0.140)
S (0.218, 0.250, 0.907)
S (0.282, 0.750, 0.407)
S (0.346, 0.509, 0.640)
S (0.346, 0.991, 0.640)
S (0.465, 0.250, 0.103)
S (0.535, 0.750, 0.897)
S (0.654, 0.009, 0.360)
S (0.654, 0.491, 0.360)
S (0.718, 0.250, 0.593)
S (0.782, 0.750, 0.093)
S (0.846, 0.509, 0.860)
S (0.846, 0.991, 0.860)
S (0.965, 0.250, 0.397)
N (0.037, 0.250, 0.650)
N (0.162, 0.750, 0.892)
N (0.338, 0.250, 0.392)
N (0.463, 0.750, 0.150)
N (0.537, 0.250, 0.850)
N (0.662, 0.750, 0.608)
N (0.838, 0.250, 0.108)
N (0.963, 0.750, 0.350)

---

# 4
Starting from a DFT-relaxed cell (PBE, the Materials Project), the X-ray diffraction stick pattern of SbSeN was computed for copper Kα.
Kinematic intensities with the Lorentz-polarization factor, no thermal factor.

Most intense lines, 2θ = 15–90°, low angle first:
2θ 18.51, intensity 40
2θ 25.32, intensity 24
2θ 27.92, intensity 16
2θ 30.10, intensity 100
2θ 33.51, intensity 55
2θ 44.16, intensity 28
2θ 48.12, intensity 25
2θ 57.81, intensity 31

Atomic structure:
a = 3.782 Å, b = 3.782 Å, c = 9.586 Å
α = 90.00°, β = 90.00°, γ = 90.00°
Fractional positions:
Sb (0.250, 0.250, 0.113)
Sb (0.750, 0.750, 0.887)
Se (0.250, 0.250, 0.536)
Se (0.750, 0.750, 0.464)
N (0.250, 0.750, 0.000)
N (0.750, 0.250, 0.000)

---

# 5
Starting from a DFT-relaxed cell (PBE, the Materials Project), the X-ray diffraction stick pattern of Sr3Sb2N4 was computed for copper Kα.
Kinematic intensities with the Lorentz-polarization factor, no thermal factor.

Most intense lines, 2θ = 15–90°, low angle first:
2θ 15.26, intensity 22
2θ 22.17, intensity 26
2θ 25.63, intensity 41
2θ 30.05, intensity 100
2θ 30.17, intensity 80
2θ 33.33, intensity 50
2θ 38.08, intensity 22
2θ 62.72, intensity 24

Atomic structure:
a = 7.048 Å, b = 11.081 Å, c = 10.251 Å
α = 90.00°, β = 90.00°, γ = 90.00°
Fractional positions:
Sr (0.019, 0.193, 0.086)
Sr (0.019, 0.307, 0.414)
Sr (0.250, 0.000, 0.570)
Sr (0.250, 0.500, 0.930)
Sr (0.481, 0.693, 0.414)
Sr (0.481, 0.807, 0.086)
Sr (0.519, 0.193, 0.914)
Sr (0.519, 0.307, 0.586)
Sr (0.750, 0.000, 0.430)
Sr (0.750, 0.500, 0.070)
Sr (0.981, 0.693, 0.586)
Sr (0.981, 0.807, 0.914)
Sb (0.039, 0.250, 0.750)
Sb (0.250, 0.000, 0.256)
Sb (0.250, 0.500, 0.244)
Sb (0.461, 0.750, 0.750)
Sb (0.539, 0.250, 0.250)
Sb (0.750, 0.000, 0.744)
Sb (0.750, 0.500, 0.756)
Sb (0.961, 0.750, 0.250)
N (0.058, 0.094, 0.354)
N (0.058, 0.406, 0.146)
N (0.127, 0.627, 0.368)
N (0.127, 0.873, 0.132)
N (0.373, 0.127, 0.132)
N (0.373, 0.373, 0.368)
N (0.442, 0.594, 0.146)
N (0.442, 0.906, 0.354)
N (0.558, 0.094, 0.646)
N (0.558, 0.406, 0.854)
N (0.627, 0.627, 0.632)
N (0.627, 0.873, 0.868)
N (0.873, 0.127, 0.868)
N (0.873, 0.373, 0.632)
N (0.942, 0.594, 0.854)
N (0.942, 0.906, 0.646)

---

# 6
Starting from a DFT-relaxed cell (PBE, the Materials Project), the X-ray diffraction stick pattern of Sr3SbN3 was computed for copper Kα.
Kinematic intensities with the Lorentz-polarization factor, no thermal factor.

Most intense lines, 2θ = 15–90°, low angle first:
2θ 25.68, intensity 30
2θ 27.89, intensity 38
2θ 30.78, intensity 100
2θ 33.74, intensity 41
2θ 34.19, intensity 29
2θ 38.27, intensity 18
2θ 38.94, intensity 17
2θ 48.80, intensity 20

Atomic structure:
a = 8.012 Å, b = 8.012 Å, c = 5.313 Å
α = 90.00°, β = 90.00°, γ = 120.00°
Fractional positions:
Sr (0.099, 0.358, 0.250)
Sr (0.259, 0.901, 0.250)
Sr (0.358, 0.259, 0.750)
Sr (0.642, 0.741, 0.250)
Sr (0.741, 0.099, 0.750)
Sr (0.901, 0.642, 0.750)
Sb (0.333, 0.667, 0.750)
Sb (0.667, 0.333, 0.250)
N (0.105, 0.380, 0.750)
N (0.274, 0.895, 0.750)
N (0.380, 0.274, 0.250)
N (0.620, 0.726, 0.750)
N (0.726, 0.105, 0.250)
N (0.895, 0.620, 0.250)